1.
Diffraction record for EuGa2Ge4. The X-ray powder pattern is computed, not measured: it uses a DFT-relaxed cell (GGA-PBE, the Materials Project) and copper Kα.

Crystal structure
Cell lengths 4.3888, 11.1057, 13.0269 Å; angles 90.00, 90.00, 90.00 degrees
Space group Cmcm (No. 63)
Unique sites:
Eu: 0.0000 0.2077 0.2500 (multiplicity 4)
Ga: 0.0000 0.0631 0.6544 (multiplicity 8)
Ge: 0.0000 0.2520 0.5498 (multiplicity 8)
Ge: 0.0000 0.4741 0.5946 (multiplicity 8)

Largest 12 diffraction maxima, low angle first, 2θ = 10–80°:
25.76°, I 34, hkl 1 1 2; 30.05°, I 100, hkl 1 1 3; 31.86°, I 59, hkl 0 2 4; 32.24°, I 26, hkl 0 4 0; 32.38°, I 40, hkl 1 3 1; 32.99°, I 18, hkl 0 4 1; 41.13°, I 42, hkl 2 0 0; 47.43°, I 22, hkl 1 1 6; 50.63°, I 22, hkl 1 5 3; 52.95°, I 28, hkl 2 2 4; 53.19°, I 29, hkl 2 4 0; 54.17°, I 29, hkl 1 1 7



2.
Diffraction record for DyInCu. The X-ray powder pattern is computed, not measured: it uses a DFT-relaxed cell (GGA-PBE, the Materials Project) and copper Kα.

Crystal structure
Cell lengths 7.4985, 7.4985, 3.9091 Å; angles 90.00, 90.00, 120.00 degrees
Space group P-62m (No. 189)
Unique sites:
Dy: 0.0000 0.5895 0.0000 (multiplicity 3)
In: 0.0000 0.2533 0.5000 (multiplicity 3)
Cu: 0.0000 0.0000 0.0000 (multiplicity 1)
Cu: 0.3333 0.6667 0.5000 (multiplicity 2)

Largest 12 diffraction maxima, low angle first, 2θ = 10–80°:
33.11°, I 100, hkl 1 1 1; 35.96°, I 75, hkl 2 0 1; 36.61°, I 52, hkl 2 1 0; 41.73°, I 23, hkl 3 0 0; 43.54°, I 12, hkl 2 1 1; 46.46°, I 21, hkl 0 0 2; 50.69°, I 14, hkl 3 1 0; 56.24°, I 23, hkl 3 1 1; 60.56°, I 24, hkl 2 1 2; 64.20°, I 12, hkl 3 0 2; 67.25°, I 24, hkl 3 2 1; 71.19°, I 10, hkl 3 1 2